Diffraction record for Hf2Al3W. The powder XRD pattern is theoretical, not measured: it uses a cell relaxed with PBE and CuKα.

```
data_Hf2Al3W
_chemical_formula_sum 'Hf6 Al9 W3'
_space_group_name_H-M_alt 'R -3 m'
_space_group_IT_number 166
_space_group_name_Hall '-R 3 2"'
_cell_length_a 5.2809
_cell_length_b 5.2809
_cell_length_c 13.1301
_cell_angle_alpha 90.00
_cell_angle_beta 90.00
_cell_angle_gamma 120.00
loop_
_atom_site_label
_atom_site_fract_x
_atom_site_fract_y
_atom_site_fract_z
Hf1 0.0000 0.0000 0.1293
Al1 0.0000 0.5000 0.0000
W1 0.0000 0.0000 0.5000
```

Most intense lines, 10 to 90 degrees two-theta, sorted by position:
hkl, 2θ (°), Rel. int.
0 0 3, 20.3, 53.9
1 1 0, 34.0, 87.3
0 1 5, 39.6, 40.0
1 1 3, 39.9, 100.0
0 1 8, 59.9, 16.9
3 0 0, 60.8, 16.7
1 2 5, 64.5, 19.2
3 0 3, 64.8, 24.3